The following is a theoretical XRD peak list of AcYGe4. It was derived from a GGA-PBE-relaxed structure, using Cu Kα (weighted mean of Kα1 and Kα2).
Lines closer than 0.1° are merged.

Cell and atoms:
Unit cell a=7.8825 b=17.6508 c=4.2452 alpha=90.00 beta=90.00 gamma=90.00
Positions (direct):
Ac (0.1382, 0.1658, 0.0000)
Ac (0.3618, 0.6658, 0.0000)
Ac (0.6382, 0.3342, 0.0000)
Ac (0.8618, 0.8342, 0.0000)
Y (0.1386, 0.4140, 0.0000)
Y (0.3614, 0.9140, 0.0000)
Y (0.6386, 0.0860, 0.0000)
Y (0.8614, 0.5860, 0.0000)
Ge (0.0240, 0.6835, 0.5000)
Ge (0.0910, 0.9376, 0.5000)
Ge (0.1517, 0.5396, 0.5000)
Ge (0.2036, 0.8023, 0.5000)
Ge (0.2964, 0.3023, 0.5000)
Ge (0.3483, 0.0396, 0.5000)
Ge (0.4090, 0.4376, 0.5000)
Ge (0.4760, 0.1835, 0.5000)
Ge (0.5240, 0.8165, 0.5000)
Ge (0.5910, 0.5624, 0.5000)
Ge (0.6517, 0.9604, 0.5000)
Ge (0.7036, 0.6977, 0.5000)
Ge (0.7964, 0.1977, 0.5000)
Ge (0.8483, 0.4604, 0.5000)
Ge (0.9090, 0.0624, 0.5000)
Ge (0.9760, 0.3165, 0.5000)

Most intense lines, 10° ≤ 2θ ≤ 90°, by intensity:
2θ = 31.38°, intensity 100, (2 1 1); 2θ = 42.58°, intensity 33, (0 0 2); 2θ = 28.29°, intensity 24, (1 3 1); 2θ = 37.49°, intensity 21, (3 3 0); 2θ = 23.11°, intensity 19, (1 4 0); 2θ = 47.88°, intensity 17, (2 7 1)


The following is a theoretical XRD peak list of Np2SO2. It was derived from a GGA-PBE-relaxed structure, using Cu Kα (weighted mean of Kα1 and Kα2).
Lines closer than 0.1° are merged.

Cell and atoms:
Unit cell a=3.8599 b=3.8599 c=6.5962 alpha=90.00 beta=90.00 gamma=120.00
Positions (direct):
Np (0.3333, 0.6667, 0.2245)
Np (0.6667, 0.3333, 0.7755)
S (0.0000, 0.0000, 0.5000)
O (0.3333, 0.6667, 0.8720)
O (0.6667, 0.3333, 0.1280)

Most intense lines, 10° ≤ 2θ ≤ 90°, by intensity:
2θ = 29.97°, intensity 100, (1 0 1); 2θ = 47.09°, intensity 28, (1 1 0); 2θ = 38.34°, intensity 26, (0 1 2); 2θ = 49.63°, intensity 26, (1 0 3); 2θ = 27.04°, intensity 24, (0 0 2); 2θ = 55.14°, intensity 22, (1 1 2)